Structure and computed X-ray powder pattern of CeSmH8Rh2 (DFT lattice parameters and positions (PBE); CuKα).
No peak broadening, texture or thermal motion is included.

Largest 10 diffraction maxima, by angle, 5° ≤ 2θ ≤ 70°:
2theta, I (rel.)
24.11, 5
29.13, 100
32.43, 7
38.96, 52
44.25, 23
49.37, 23
53.24, 5
59.17, 5
60.40, 9
64.61, 21

Structural model:
abc: 6.8897 6.8897 6.8897
angles: 39.21 39.21 39.21
Fractional positions:
Ce  0.0000  0.0000  0.0000
Sm  0.5000  0.5000  0.5000
H  0.0434  0.0434  0.5806
H  0.0434  0.5806  0.0434
H  0.3630  0.3630  0.3630
H  0.4194  0.9566  0.9566
H  0.5806  0.0434  0.0434
H  0.6370  0.6370  0.6370
H  0.9566  0.4194  0.9566
H  0.9566  0.9566  0.4194
Rh  0.2708  0.2708  0.2708
Rh  0.7292  0.7292  0.7292

Structure and computed X-ray powder pattern of SmDy4S4 (DFT lattice parameters and positions (PBE); CuKα).
No peak broadening, texture or thermal motion is included.

Largest 10 diffraction maxima, by angle, 5° ≤ 2θ ≤ 70°:
2theta, I (rel.)
28.04, 100
32.44, 69
32.59, 34
46.54, 25
46.65, 49
55.21, 32
55.41, 16
57.96, 26
67.93, 8
68.27, 4

Structural model:
abc: 6.7553 6.7553 6.7553
angles: 99.52 99.52 132.00
Fractional positions:
Sm  0.0000  0.0000  0.0000
Dy  0.1968  0.6055  0.8023
Dy  0.3945  0.1968  0.5914
Dy  0.6055  0.8032  0.4086
Dy  0.8032  0.3945  0.1977
S  0.0999  0.3056  0.4055
S  0.3056  0.9001  0.2057
S  0.6944  0.0999  0.7943
S  0.9001  0.6944  0.5945